Record 1
# ZrAl3Ni3
Calculated powder diffractogram, Cu Ka. Input: a cell relaxed with PBE.

Atomic structure:
a = 4.0478 Å, b = 6.3116 Å, c = 7.9185 Å
α = 90.00°, β = 90.00°, γ = 90.00°
Space group Pmmn (No. 59, origin choice 2)
Symmetry-distinct sites (fractional):
Zr  0.2500  0.2500  0.2251 [2 per cell]
Al  0.2500  0.0414  0.6140 [4 per cell]
Al  0.2500  0.7500  0.1303 [2 per cell]
Ni  0.2500  0.0250  0.9158 [4 per cell]
Ni  0.2500  0.7500  0.4323 [2 per cell]

Largest 12 diffraction maxima, in order of rising 2θ, 2θ = 10–90°:
h k l	2theta	I (rel.)
0 0 1	11.17	17
1 1 1	28.52	16
0 2 1	30.49	16
1 1 2	34.74	33
0 1 3	36.91	38
1 2 1	37.89	100
1 0 3	40.81	24
2 0 0	44.78	45
1 2 3	50.39	20
1 0 4	51.38	18
1 3 2	54.33	17
2 1 3	59.38	18



Record 2
# ZrAl2Ni8
Calculated powder diffractogram, Cu Ka. Input: a cell relaxed with PBE.

Atomic structure:
a = 3.5313 Å, b = 3.5313 Å, c = 11.1591 Å
α = 90.00°, β = 90.00°, γ = 90.00°
Space group P4/mmm (No. 123)
Symmetry-distinct sites (fractional):
Zr  0.0000  0.0000  0.0000 [1 per cell]
Al  0.0000  0.0000  0.3421 [2 per cell]
Ni  0.0000  0.5000  0.1773 [4 per cell]
Ni  0.0000  0.5000  0.5000 [2 per cell]
Ni  0.5000  0.5000  0.3370 [2 per cell]

Largest 12 diffraction maxima, in order of rising 2θ, 2θ = 10–90°:
h k l	2theta	I (rel.)
0 0 3	23.92	3
1 0 1	26.47	16
1 0 2	29.95	11
1 0 4	41.24	5
1 1 3	43.66	100
1 0 5	48.24	3
0 0 6	48.98	18
2 0 0	51.78	30
2 1 1	59.08	3
2 0 6	74.03	18
2 2 0	76.26	9
1 1 9	87.93	10



Record 3
# Zr2AlNi5
Calculated powder diffractogram, Cu Ka. Input: a cell relaxed with PBE.

Atomic structure:
a = 3.7932 Å, b = 4.9737 Å, c = 12.4313 Å
α = 90.00°, β = 90.00°, γ = 90.00°
Space group Immm (No. 71)
Symmetry-distinct sites (fractional):
Zr  0.0000  0.0000  0.2116 [4 per cell]
Al  0.0000  0.5000  0.0000 [2 per cell]
Ni  0.0000  0.0000  0.0000 [2 per cell]
Ni  0.0000  0.2526  0.4012 [8 per cell]

Largest 12 diffraction maxima, in order of rising 2θ, 2θ = 10–90°:
h k l	2theta	I (rel.)
0 1 1	19.22	23
1 1 0	29.62	51
1 1 2	33.01	26
0 1 5	40.57	19
1 1 4	41.73	18
1 0 5	43.52	100
1 2 1	44.15	84
0 2 4	46.79	47
2 0 0	47.97	39
2 2 4	69.25	27
0 4 0	76.64	16
1 2 9	84.14	19



Record 4
# Np2Al7
Calculated powder diffractogram, Cu Ka. Input: a cell relaxed with PBE.

Atomic structure:
a = 5.4432 Å, b = 5.4432 Å, c = 39.7937 Å
α = 90.00°, β = 90.00°, γ = 120.00°
Space group R-3m (No. 166, hexagonal axes)
Symmetry-distinct sites (fractional):
Np  0.0000  0.0000  0.0515 [6 per cell]
Np  0.0000  0.0000  0.1525 [6 per cell]
Al  0.0000  0.0000  0.2783 [6 per cell]
Al  0.0000  0.0000  0.3889 [6 per cell]
Al  0.0000  0.0000  0.5000 [3 per cell]
Al  0.0000  0.5000  0.0000 [9 per cell]
Al  0.0039  0.5019  0.8894 [18 per cell]

Largest 12 diffraction maxima, in order of rising 2θ, 2θ = 10–90°:
h k l	2theta	I (rel.)
1 0 1	18.96	91
0 0 9	20.08	38
1 0 10	29.37	87
0 1 11	31.16	39
1 1 0	32.91	77
0 2 1	38.25	37
1 1 9	38.86	100
0 1 20	49.74	18
2 1 10	56.60	31
3 0 9	62.76	25
2 2 0	69.02	19
0 0 30	71.02	15